1.
Diffraction record for CuAg. The powder XRD pattern is calculated, not measured: it uses the GGA-PBE geometry in OQMD and Cu Kα X-rays.

Structural model:
a = 3.9274 Å, b = 9.8913 Å, c = 9.8913 Å
α = 22.62°, β = 90.00°, γ = 90.00°
Fractional coordinates of all 10 atoms:
Cu: 0.0000 0.0000 0.0000
Cu: 0.0000 0.1929 0.1929
Cu: 0.5000 0.1027 0.1027
Cu: 0.5000 0.6922 0.6922
Cu: 0.5000 0.9004 0.9004
Ag: 0.0000 0.3994 0.3994
Ag: 0.0000 0.6006 0.6006
Ag: 0.0000 0.7912 0.7912
Ag: 0.5000 0.2920 0.2920
Ag: 0.5000 0.5008 0.5008

Top 10 peaks for 2θ from 15° to 90°, sorted by position:
| 2θ/deg | Rel. int. |
| --- | --- |
| 23.38 | 34 |
| 29.26 | 18 |
| 40.09 | 1000 |
| 46.23 | 166 |
| 46.83 | 308 |
| 67.92 | 188 |
| 68.38 | 89 |
| 81.46 | 114 |
| 82.33 | 206 |
| 86.55 | 93 |

2.
Diffraction record for ZnSi17Ge13P. The powder XRD pattern is calculated, not measured: it uses the GGA-PBE geometry in OQMD and Cu Kα X-rays.

Structural model:
a = 6.8309 Å, b = 10.4034 Å, c = 10.4067 Å
α = 81.73°, β = 83.75°, γ = 70.91°
Fractional coordinates of all 32 atoms:
Zn: 0.0000 0.0000 0.0000
Si: 0.3602 0.5476 0.1039
Si: 0.3653 0.1729 0.2202
Si: 0.3680 0.0438 0.5998
Si: 0.3700 0.4221 0.4772
Si: 0.4914 0.4376 0.6771
Si: 0.4969 0.3158 0.0585
Si: 0.4976 0.8159 0.5501
Si: 0.5014 0.9392 0.1737
Si: 0.8634 0.2328 0.0445
Si: 0.8658 0.7400 0.5366
Si: 0.8686 0.8594 0.1651
Si: 0.8714 0.1097 0.4046
Si: 0.8749 0.4814 0.2843
Si: 0.9844 0.8775 0.3650
Si: 0.9899 0.7528 0.7354
Si: 0.9926 0.6283 0.1223
Si: 0.9953 0.2509 0.2383
Ge: 0.3620 0.8035 0.3472
Ge: 0.3649 0.6757 0.7212
Ge: 0.3704 0.2982 0.8550
Ge: 0.4910 0.6914 0.9337
Ge: 0.4950 0.1864 0.4268
Ge: 0.4986 0.0568 0.8044
Ge: 0.4989 0.5606 0.3035
Ge: 0.8659 0.3607 0.6619
Ge: 0.8743 0.6155 0.9152
Ge: 0.8800 0.9806 0.7948
Ge: 0.9868 0.3738 0.8734
Ge: 0.9933 0.1215 0.6097
Ge: 0.9949 0.5058 0.4865
P: 0.3690 0.9249 0.9820

Top 10 peaks for 2θ from 15° to 90°, sorted by position:
| 2θ/deg | Rel. int. |
| --- | --- |
| 27.76 | 1000 |
| 46.09 | 474 |
| 46.18 | 234 |
| 54.59 | 71 |
| 54.69 | 314 |
| 67.27 | 110 |
| 74.12 | 41 |
| 74.26 | 70 |
| 74.36 | 54 |
| 85.48 | 133 |

3.
Diffraction record for TlReHg3S4. The powder XRD pattern is calculated, not measured: it uses the GGA-PBE geometry in OQMD and Cu Kα X-rays.

Structural model:
a = 7.5484 Å, b = 7.5484 Å, c = 7.5484 Å
α = 90.00°, β = 90.00°, γ = 90.00°
Fractional coordinates of all 9 atoms:
Tl: 0.0000 0.0000 0.0000
Re: 0.5000 0.5000 0.5000
Hg: 0.0000 0.5000 0.5000
Hg: 0.5000 0.0000 0.5000
Hg: 0.5000 0.5000 0.0000
S: 0.3340 0.3340 0.3340
S: 0.3340 0.6660 0.6660
S: 0.6660 0.3340 0.6660
S: 0.6660 0.6660 0.3340

Top 10 peaks for 2θ from 15° to 90°, sorted by position:
| 2θ/deg | Rel. int. |
| --- | --- |
| 16.61 | 263 |
| 20.38 | 800 |
| 23.57 | 977 |
| 33.58 | 1000 |
| 39.60 | 527 |
| 41.44 | 346 |
| 54.35 | 518 |
| 60.04 | 354 |
| 74.34 | 171 |
| 75.58 | 242 |